Diffraction record for Na3CuO3. The powder XRD pattern is computed, not measured: it uses a structure optimized by DFT (PBE) and Cu Kα X-rays.
Intensities are scaled so that the largest is 100.

The 10 most intense peaks (15° ≤ 2θ ≤ 90°), sorted by position:
2theta, intensity
21.35, 15
22.09, 100
24.10, 23
33.85, 90
38.70, 73
40.43, 48
53.34, 27
55.89, 15
57.21, 41
66.97, 28

Cell lengths 9.3056, 9.3056, 4.4618 Å; angles 90.00, 90.00, 90.00 degrees
Space group P4_2/mnm (No. 136)
Asymmetric unit:
1 Na 0.1278 0.3709 0.0000 [8 per cell]
2 Na 0.1499 0.1499 0.5000 [4 per cell]
3 Cu 0.1091 0.8909 0.0000 [4 per cell]
4 O 0.0944 0.0944 0.0000 [4 per cell]
5 O 0.1062 0.6924 0.0000 [8 per cell]